No. 1
This entry pairs a crystal structure of Co3Re with its theoretical powder diffraction line list. Radiation: λ = 1.5418 Å (Cu Kα). Structure: a crystal structure in Alexandria, relaxed with PBE.
Peak positions follow from Bragg's law for the DFT cell and can differ from measured ones.

Cell and atoms:
Unit cell a=2.5930 b=3.5592 c=5.0584 alpha=90.00 beta=90.49 gamma=90.00
Atoms (fractional coordinates):
Co: 0.0000 0.0000 0.0000
Co: 0.4978 0.5000 0.2423
Co: 0.5022 0.5000 0.7577
Re: 0.0000 0.0000 0.5000

Peak list (10 most intense, 10° ≤ 2θ ≤ 80°, low angle first)
d 5.058, 17.53°, rel. 46; d 3.559, 25.02°, rel. 22; d 2.911, 30.72°, rel. 30; d 2.096, 43.17°, rel. 100; d 2.062, 43.92°, rel. 95; d 1.818, 50.17°, rel. 32; d 1.803, 50.63°, rel. 31; d 1.780, 51.34°, rel. 30; d 1.272, 74.63°, rel. 19; d 1.267, 74.99°, rel. 18

***

No. 2
This entry pairs a crystal structure of Co3Re5 with its theoretical powder diffraction line list. Radiation: λ = 1.5418 Å (Cu Kα). Structure: a crystal structure in Alexandria, relaxed with PBE.
Peak positions follow from Bragg's law for the DFT cell and can differ from measured ones.

Cell and atoms:
Unit cell a=7.0994 b=7.0994 c=4.7318 alpha=109.47 beta=109.47 gamma=83.65
Atoms (fractional coordinates):
Co: 0.9999 0.0001 0.2500
Co: 0.0001 0.9999 0.7500
Co: 0.1649 0.5001 0.8318
Co: 0.5001 0.1649 0.3318
Co: 0.4999 0.8351 0.6682
Co: 0.8351 0.4999 0.1682
Re: 0.1481 0.2980 0.2227
Re: 0.1479 0.7021 0.4246
Re: 0.2980 0.1481 0.7227
Re: 0.2979 0.8521 0.0754
Re: 0.4995 0.5005 0.2500
Re: 0.5005 0.4995 0.7500
Re: 0.7021 0.1479 0.9246
Re: 0.7020 0.8519 0.2773
Re: 0.8521 0.2979 0.5754
Re: 0.8519 0.7020 0.7773

Peak list (10 most intense, 10° ≤ 2θ ≤ 80°, low angle first)
d 3.155, 28.29°, rel. 22; d 2.993, 29.85°, rel. 21; d 2.366, 38.03°, rel. 40; d 2.296, 39.24°, rel. 66; d 2.117, 42.72°, rel. 90; d 2.066, 43.83°, rel. 100; d 1.932, 47.04°, rel. 53; d 1.352, 69.52°, rel. 27; d 1.339, 70.32°, rel. 28; d 1.300, 72.74°, rel. 22

***

No. 3
This entry pairs a crystal structure of CoReRh5 with its theoretical powder diffraction line list. Radiation: λ = 1.5418 Å (Cu Kα). Structure: a crystal structure in Alexandria, relaxed with PBE.
Peak positions follow from Bragg's law for the DFT cell and can differ from measured ones.

Cell and atoms:
Unit cell a=5.2583 b=5.2583 c=8.9364 alpha=107.48 beta=107.48 gamma=68.21
Atoms (fractional coordinates):
Co: 0.0000 0.5000 0.0000
Co: 0.5000 0.0000 0.5000
Re: 0.0842 0.9158 0.7500
Re: 0.9158 0.0842 0.2500
Rh: 0.1678 0.3445 0.7395
Rh: 0.2363 0.5797 0.5222
Rh: 0.3353 0.6647 0.2500
Rh: 0.3445 0.1678 0.2395
Rh: 0.4203 0.7637 0.9778
Rh: 0.5797 0.2363 0.0222
Rh: 0.6555 0.8322 0.7605
Rh: 0.6647 0.3353 0.7500
Rh: 0.7637 0.4203 0.4778
Rh: 0.8322 0.6555 0.2605

Peak list (10 most intense, 10° ≤ 2θ ≤ 80°, low angle first)
d 4.164, 21.34°, rel. 37; d 3.532, 25.21°, rel. 17; d 2.850, 31.39°, rel. 25; d 2.602, 34.46°, rel. 20; d 2.435, 36.92°, rel. 25; d 2.406, 37.37°, rel. 31; d 2.173, 41.55°, rel. 100; d 2.158, 41.87°, rel. 44; d 2.082, 43.47°, rel. 57; d 2.036, 44.49°, rel. 74